(1)
Computed powder diffractogram of SmDyI2O2 for copper Kα, from DFT lattice parameters and positions (GGA-PBE).
Intensities are scaled so that the largest is 100.

Structure:
```
data_SmDyI2O2
_chemical_formula_sum 'Sm1 Dy1 I2 O2'
_space_group_name_H-M_alt 'P 4 m m'
_space_group_IT_number 99
_cell_length_a 3.9696
_cell_length_b 3.9696
_cell_length_c 9.2978
_cell_angle_alpha 90.00
_cell_angle_beta 90.00
_cell_angle_gamma 90.00
loop_
_space_group_symop_operation_xyz
'x,y,z'
'-y,x,z'
'-x,-y,z'
'y,-x,z'
'-x,y,z'
'y,x,z'
'x,-y,z'
'-y,-x,z'
loop_
_atom_site_label
_atom_site_fract_x
_atom_site_fract_y
_atom_site_fract_z
Sm1 0.0000 0.0000 0.0000
Dy1 0.5000 0.5000 0.7594
I1 0.0000 0.0000 0.5557
I2 0.5000 0.5000 0.2046
O1 0.0000 0.5000 0.8746
```

Top 8 peaks for 15° ≤ 2θ ≤ 90°, by angle:
hkl  two_theta  d [Å]  I (rel.)
1 0 2  29.6  3.019  100
1 1 0  31.9  2.807  44
1 0 3  36.8  2.443  17
2 0 0  45.7  1.985  20
1 1 4  51.0  1.790  14
2 1 2  55.4  1.658  34
1 1 5  59.6  1.550  11
2 1 3  60.1  1.540  8

***

(2)
Computed powder diffractogram of PmPrNO for copper Kα, from DFT lattice parameters and positions (GGA-PBE).
Intensities are scaled so that the largest is 100.

Structure:
```
data_PmPrNO
_chemical_formula_sum 'Pm2 Pr2 N2 O2'
_space_group_name_H-M_alt 'P m m a'
_space_group_IT_number 51
_cell_length_a 5.1248
_cell_length_b 4.1507
_cell_length_c 7.1950
_cell_angle_alpha 90.00
_cell_angle_beta 90.00
_cell_angle_gamma 90.00
loop_
_space_group_symop_operation_xyz
'x,y,z'
'-x,-y,-z'
'-x+1/2,-y,z'
'x+1/2,y,-z'
'x+1/2,-y,-z'
'-x+1/2,y,z'
'-x,y,-z'
'x,-y,z'
loop_
_atom_site_label
_atom_site_fract_x
_atom_site_fract_y
_atom_site_fract_z
Pm1 0.2500 0.0000 0.1663
Pr1 0.2500 0.5000 0.6653
N1 0.2500 0.0000 0.8397
O1 0.2500 0.5000 0.3197
```

Top 8 peaks for 15° ≤ 2θ ≤ 90°, by angle:
hkl  two_theta  d [Å]  I (rel.)
0 1 1  24.8  3.596  44
1 0 2  30.4  2.944  100
2 0 0  35.0  2.562  23
2 1 1  43.4  2.087  19
0 2 0  43.6  2.076  37
1 2 2  54.1  1.697  21
2 2 0  57.1  1.613  33
1 1 5  71.9  1.314  18

***

(3)
Computed powder diffractogram of ZnPH11C6NO5 for copper Kα, from DFT lattice parameters and positions (GGA-PBE).
Intensities are scaled so that the largest is 100.

Structure:
```
data_ZnPH11C6NO5
_chemical_formula_sum 'Zn2 P2 H22 C12 N2 O10'
_space_group_name_H-M_alt 'P -1'
_space_group_IT_number 2
_cell_length_a 4.9079
_cell_length_b 8.6570
_cell_length_c 11.2836
_cell_angle_alpha 84.05
_cell_angle_beta 80.65
_cell_angle_gamma 76.39
loop_
_space_group_symop_operation_xyz
'x,y,z'
'-x,-y,-z'
loop_
_atom_site_label
_atom_site_fract_x
_atom_site_fract_y
_atom_site_fract_z
Zn1 0.1460 0.1627 0.4185
P1 0.4277 0.7925 0.4313
H1 0.0253 0.9024 0.1271
H2 0.0308 0.6111 0.0932
H3 0.1063 0.5517 0.7231
H4 0.1635 0.7325 0.9500
H5 0.1833 0.6415 0.3417
H6 0.2000 0.9456 0.2259
H7 0.2262 0.0817 0.0170
H8 0.3395 0.8785 0.7636
H9 0.4398 0.1288 0.9072
H10 0.4801 0.3542 0.7450
H11 0.4972 0.5169 0.3899
C1 0.0996 0.4133 0.2225
C2 0.1796 0.5028 0.1192
C3 0.3750 0.6870 0.9035
C4 0.4074 0.6330 0.3465
C5 0.4504 0.4536 0.0543
C6 0.4707 0.7700 0.7997
N1 0.2709 0.2803 0.2631
O1 0.1924 0.9438 0.1378
O2 0.2347 0.1477 0.9392
O3 0.2583 0.2140 0.5640
O4 0.2680 0.7736 0.5599
O5 0.2839 0.9471 0.3624
```

Top 8 peaks for 15° ≤ 2θ ≤ 90°, by angle:
hkl  two_theta  d [Å]  I (rel.)
0 0 2  16.0  5.554  48
1 0 1  19.4  4.587  49
0 2 0  21.2  4.197  37
0 2 1  22.1  4.018  58
1 1 2  22.9  3.880  100
1 1 -2  27.4  3.261  40
0 2 -2  27.5  3.244  68
1 2 3  31.9  2.804  80

***

(4)
Computed powder diffractogram of Pd2Br5Cl for copper Kα, from DFT lattice parameters and positions (GGA-PBE).
Intensities are scaled so that the largest is 100.

Structure:
```
data_Pd2Br5Cl
_chemical_formula_sum 'Pd4 Br10 Cl2'
_space_group_name_H-M_alt 'A m m 2'
_space_group_IT_number 38
_cell_length_a 6.2322
_cell_length_b 11.8652
_cell_length_c 6.8067
_cell_angle_alpha 90.00
_cell_angle_beta 90.00
_cell_angle_gamma 90.00
loop_
_space_group_symop_operation_xyz
'x,y,z'
'-x,-y,z'
'-x,y,z'
'x,-y,z'
'x,y+1/2,z+1/2'
'-x,-y+1/2,z+1/2'
'-x,y+1/2,z+1/2'
'x,-y+1/2,z+1/2'
loop_
_atom_site_label
_atom_site_fract_x
_atom_site_fract_y
_atom_site_fract_z
Pd1 0.2504 0.0000 0.0000
Br1 0.0000 0.0000 0.7055
Br2 0.0000 0.1485 0.1544
Br3 0.5000 0.1495 0.8471
Cl1 0.5000 0.0000 0.2757
```

Top 8 peaks for 15° ≤ 2θ ≤ 90°, by angle:
hkl  two_theta  d [Å]  I (rel.)
0 1 1  15.0  5.904  100
1 3 1  29.8  2.998  57
1 0 2  29.9  2.987  27
2 2 0  32.5  2.757  13
2 0 2  39.1  2.302  54
2 2 2  42.2  2.143  13
0 3 3  46.1  1.968  22
3 3 1  51.5  1.775  17